1.
NaPaAlS4: simulated XRD peak list (Cu Kα (weighted mean of Kα1 and Kα2)), based on the PBE geometry in Alexandria.
Lines closer than 0.1° are merged.

Peak list (8 most intense, 15° ≤ 2θ ≤ 90°, in order of rising 2θ)
| d_spacing | two_theta | I_rel |
| --- | --- | --- |
| 5.552 | 16.0 | 48 |
| 3.409 | 26.1 | 100 |
| 3.304 | 27.0 | 66 |
| 2.776 | 32.2 | 33 |
| 2.736 | 32.7 | 61 |
| 2.574 | 34.9 | 32 |
| 2.454 | 36.6 | 35 |
| 1.948 | 46.6 | 71 |

Structural model:
Cell: 7.819 7.819 7.819 Å, 124.03 116.67 89.52°
Positions (direct):
Na 0.401 0.151 0.250
Na 0.599 0.849 0.750
Pa 0.000 0.500 0.500
Pa 0.500 0.500 0.000
Al 0.000 0.000 0.500
Al 0.000 0.500 0.000
S 0.195 0.745 0.449
S 0.204 0.255 0.949
S 0.229 0.238 0.509
S 0.229 0.720 0.991
S 0.771 0.280 0.009
S 0.771 0.762 0.491
S 0.796 0.745 0.051
S 0.805 0.255 0.551

2.
Tm4AgIr2: simulated XRD peak list (Cu Kα (weighted mean of Kα1 and Kα2)), based on the PBE geometry in Alexandria.
Lines closer than 0.1° are merged.

Peak list (8 most intense, 15° ≤ 2θ ≤ 90°, in order of rising 2θ)
| d_spacing | two_theta | I_rel |
| --- | --- | --- |
| 2.774 | 32.3 | 44 |
| 2.730 | 32.8 | 100 |
| 2.712 | 33.0 | 89 |
| 2.693 | 33.3 | 56 |
| 2.359 | 38.2 | 46 |
| 2.284 | 39.5 | 30 |
| 2.277 | 39.6 | 25 |
| 2.260 | 39.9 | 26 |

Structural model:
Cell: 7.592 7.592 7.332 Å, 109.16 109.16 111.28°
Positions (direct):
Tm 0.004 0.996 0.500
Tm 0.122 0.643 0.270
Tm 0.376 0.532 0.627
Tm 0.532 0.376 0.127
Tm 0.533 0.887 0.142
Tm 0.643 0.122 0.770
Tm 0.887 0.533 0.642
Tm 0.996 0.004 0.000
Ag 0.149 0.396 0.894
Ag 0.396 0.149 0.394
Ir 0.267 0.896 0.768
Ir 0.633 0.756 0.496
Ir 0.756 0.633 0.996
Ir 0.896 0.267 0.268